Entry 1:
Simulated powder X-ray diffraction pattern
Compound: FeCo2O4
Radiation: CuKα
Structure: a DFT-relaxed cell (PBE+U, the Materials Project)

Structure:
a b c (Å): 5.940 5.940 5.940
angles (deg): 119.31 119.14 91.35
Atoms (fractional coordinates):
Fe 0.000 0.000 0.000
Fe 0.500 0.000 0.500
Co 0.000 0.000 0.500
Co 0.000 0.500 0.000
Co 0.372 0.622 0.750
Co 0.628 0.378 0.250
O 0.222 0.241 0.981
O 0.235 0.216 0.481
O 0.235 0.753 0.019
O 0.240 0.759 0.481
O 0.760 0.241 0.519
O 0.765 0.247 0.981
O 0.765 0.784 0.519
O 0.778 0.759 0.019

Largest 12 diffraction maxima, sorted by position, 10 to 80 degrees two-theta:
2θ/deg	I (rel.)
18.22	14.6
29.73	14.8
30.10	28.7
35.10	100.0
35.73	45.5
36.94	13.3
42.55	19.4
56.30	29.8
57.60	14.1
61.66	11.2
61.83	11.1
62.57	42.2

***

Entry 2:
Simulated powder X-ray diffraction pattern
Compound: Fe2CoO4
Radiation: CuKα
Structure: a DFT-relaxed cell (PBE+U, the Materials Project)

Structure:
a b c (Å): 6.021 6.021 19.977
angles (deg): 98.99 98.99 60.44
Atoms (fractional coordinates):
Fe 0.000 0.000 0.000
Fe 0.217 0.723 0.657
Fe 0.223 0.723 0.158
Fe 0.244 0.244 0.751
Fe 0.447 0.447 0.315
Fe 0.472 0.979 0.409
Fe 0.473 0.970 0.907
Fe 0.504 0.504 0.505
Fe 0.592 0.592 0.784
Fe 0.695 0.695 0.066
Fe 0.723 0.217 0.657
Fe 0.723 0.223 0.158
Fe 0.751 0.751 0.252
Fe 0.853 0.853 0.536
Fe 0.970 0.473 0.907
Fe 0.979 0.472 0.409
Co 0.099 0.099 0.284
Co 0.198 0.198 0.564
Co 0.223 0.223 0.158
Co 0.347 0.347 0.032
Co 0.473 0.473 0.908
Co 0.724 0.724 0.657
Co 0.944 0.944 0.813
Co 0.975 0.975 0.409
O 0.023 0.023 0.592
O 0.031 0.031 0.100
O 0.035 0.567 0.599
O 0.052 0.534 0.098
O 0.148 0.665 0.471
O 0.160 0.645 0.967
O 0.163 0.163 0.966
O 0.166 0.166 0.462
O 0.279 0.279 0.849
O 0.283 0.283 0.350
O 0.290 0.800 0.350
O 0.314 0.775 0.847
O 0.395 0.912 0.219
O 0.404 0.884 0.717
O 0.410 0.410 0.721
O 0.415 0.415 0.216
O 0.528 0.528 0.603
O 0.531 0.531 0.100
O 0.534 0.052 0.098
O 0.567 0.035 0.599
O 0.645 0.160 0.967
O 0.665 0.148 0.471
O 0.665 0.665 0.967
O 0.678 0.678 0.475
O 0.771 0.771 0.846
O 0.775 0.314 0.847
O 0.783 0.783 0.352
O 0.800 0.290 0.350
O 0.884 0.404 0.717
O 0.912 0.395 0.219
O 0.915 0.915 0.711
O 0.916 0.916 0.217

Largest 12 diffraction maxima, sorted by position, 10 to 80 degrees two-theta:
2θ/deg	I (rel.)
18.03	18.8
29.67	45.8
34.80	100.0
34.88	35.2
35.07	64.8
42.27	28.2
55.86	27.9
55.95	16.4
56.40	18.2
61.16	15.7
61.46	15.0
61.64	59.2

***

Entry 3:
Simulated powder X-ray diffraction pattern
Compound: FeCo3O8
Radiation: CuKα
Structure: a DFT-relaxed cell (PBE+U, the Materials Project)

Structure:
a b c (Å): 5.802 5.802 5.802
angles (deg): 59.79 59.79 59.79
Atoms (fractional coordinates):
Fe 0.000 0.000 0.000
Co 0.000 0.500 0.500
Co 0.500 0.000 0.500
Co 0.500 0.500 0.000
O 0.239 0.239 0.719
O 0.239 0.719 0.239
O 0.266 0.266 0.266
O 0.281 0.761 0.761
O 0.719 0.239 0.239
O 0.734 0.734 0.734
O 0.761 0.281 0.761
O 0.761 0.761 0.281

Largest 12 diffraction maxima, sorted by position, 10 to 80 degrees two-theta:
2θ/deg	I (rel.)
18.70	100.0
36.43	33.3
37.92	3.7
38.09	7.7
44.22	44.9
48.41	8.8
58.46	14.9
64.21	10.4
64.44	12.8
67.75	13.7
76.34	3.3
77.27	3.2